This entry pairs a crystal structure of ZnNi2ClO3 with its simulated XRD peak list. Radiation: a wavelength of 1.5418 Å. Structure: a cell relaxed with PBE+U.

Lattice parameters (Å, degrees): 6.0971 6.0971 15.8295 90.00 90.00 120.00
Space group R-3m (No. 166, hexagonal axes)
Symmetry-distinct sites (fractional):
Zn: 0.0000 0.0000 0.0833 [6 per cell]
Ni: 0.0000 0.0000 0.5000 [3 per cell]
Ni: 0.0000 0.5000 0.0000 [9 per cell]
Cl: 0.0000 0.0000 0.2304 [6 per cell]
O: 0.0403 0.5201 0.2658 [18 per cell]

Top 10 peaks for 2θ = 5–70°, by angle:
5.277 Å, rel. 55, hkl 0 0 3; 3.049 Å, rel. 80, hkl 1 1 0; 2.715 Å, rel. 56, hkl 0 1 5; 2.640 Å, rel. 85, hkl 1 1 3; 2.604 Å, rel. 96, hkl 0 2 1; 2.504 Å, rel. 40, hkl 2 0 2; 2.196 Å, rel. 100, hkl 0 2 4; 2.079 Å, rel. 76, hkl 1 0 7; 1.524 Å, rel. 78, hkl 2 2 0; 1.496 Å, rel. 58, hkl 2 1 7